Record 1
Simulated powder diffractogram
Compound: Cs2Tl2Pt
Radiation: CuKα
Structure: a DFT-relaxed cell (PBE, Alexandria)
Peak positions follow from Bragg's law for the DFT cell and can differ from measured ones.

Cell and atoms:
abc: 7.0493 13.7816 4.4242
angles: 90.00 90.00 90.00
Space group Pbam (No. 55)
Unique sites:
Cs (0.1157, 0.1534, 0.0000) [4 per cell]
Tl (0.1415, 0.4002, 0.5000) [4 per cell]
Pt (0.0000, 0.5000, 0.0000) [2 per cell]

Most intense lines, 10 to 80 degrees two-theta, in order of falling intensity:
(hkl), d (Å), Rel. int.
1 2 1, 3.292, 100
1 1 0, 6.276, 86
1 3 1, 2.904, 72
2 1 0, 3.415, 51
3 1 1, 2.052, 41
0 6 1, 2.039, 35
0 2 0, 6.891, 33
1 3 0, 3.849, 33
2 3 0, 2.796, 30
1 5 1, 2.220, 29



Record 2
Simulated powder diffractogram
Compound: Ba3Sb
Radiation: CuKα
Structure: a DFT-relaxed cell (PBE, Alexandria)
Peak positions follow from Bragg's law for the DFT cell and can differ from measured ones.

Cell and atoms:
abc: 4.7584 7.7635 11.3525
angles: 90.00 90.00 90.00
Space group Pmmn (No. 59, origin choice 2)
Unique sites:
Ba (0.2500, 0.0160, 0.1648) [4 per cell]
Ba (0.2500, 0.2500, 0.5562) [2 per cell]
Sb (0.2500, 0.7500, 0.6658) [2 per cell]

Most intense lines, 10 to 80 degrees two-theta, in order of falling intensity:
(hkl), d (Å), Rel. int.
1 0 2, 3.647, 100
1 2 1, 2.908, 86
0 2 1, 3.673, 57
0 2 3, 2.710, 25
1 1 3, 2.767, 24
1 4 2, 1.714, 24
2 0 0, 2.379, 24
2 2 1, 1.997, 21
1 1 2, 3.301, 19
3 2 1, 1.455, 17



Record 3
Simulated powder diffractogram
Compound: RbSc3Te4
Radiation: CuKα
Structure: a DFT-relaxed cell (PBE, Alexandria)
Peak positions follow from Bragg's law for the DFT cell and can differ from measured ones.

Cell and atoms:
abc: 4.2456 4.2456 30.5301
angles: 90.00 90.00 120.00
Space group P6_3/mmc (No. 194)
Unique sites:
Rb (0.3333, 0.6667, 0.2500) [2 per cell]
Sc (0.0000, 0.0000, 0.0000) [2 per cell]
Sc (0.3333, 0.6667, 0.6100) [4 per cell]
Te (0.0000, 0.0000, 0.1631) [4 per cell]
Te (0.3333, 0.6667, 0.0546) [4 per cell]

Most intense lines, 10 to 80 degrees two-theta, in order of falling intensity:
(hkl), d (Å), Rel. int.
1 0 6, 2.980, 100
1 0 5, 3.150, 65
1 1 0, 2.123, 56
1 0 12, 2.092, 23
2 0 6, 1.729, 20
1 0 11, 2.215, 19
1 1 18, 1.325, 18
1 1 10, 1.743, 17
2 1 6, 1.341, 16
0 0 18, 1.694, 16



Record 4
Simulated powder diffractogram
Compound: Y5Mg13Cu5
Radiation: CuKα
Structure: a DFT-relaxed cell (PBE, Alexandria)
Peak positions follow from Bragg's law for the DFT cell and can differ from measured ones.

Cell and atoms:
abc: 4.2389 18.8278 25.3226
angles: 90.00 90.00 90.00
Space group Cmcm (No. 63)
Unique sites:
Y (0.0000, 0.0166, 0.1053) [8 per cell]
Y (0.0000, 0.0551, 0.2500) [4 per cell]
Y (0.0000, 0.1759, 0.6433) [8 per cell]
Mg (0.0000, 0.1160, 0.5171) [8 per cell]
Mg (0.0000, 0.1846, 0.1575) [8 per cell]
Mg (0.0000, 0.2671, 0.0455) [8 per cell]
Mg (0.0000, 0.3052, 0.7500) [4 per cell]
Mg (0.0000, 0.3068, 0.2500) [4 per cell]
Mg (0.0000, 0.3498, 0.5707) [8 per cell]
Mg (0.0000, 0.4463, 0.1889) [8 per cell]
Mg (0.0000, 0.5000, 0.0000) [4 per cell]
Cu (0.0000, 0.1018, 0.7500) [4 per cell]
Cu (0.0000, 0.4034, 0.0850) [8 per cell]
Cu (0.0000, 0.4060, 0.6708) [8 per cell]

Most intense lines, 10 to 80 degrees two-theta, in order of falling intensity:
(hkl), d (Å), Rel. int.
1 5 4, 2.572, 100
1 1 8, 2.516, 78
1 3 6, 2.700, 64
2 0 0, 2.119, 46
1 5 0, 2.814, 37
1 5 1, 2.798, 28
0 0 4, 6.331, 21
0 8 5, 2.135, 21
0 4 1, 4.628, 17
1 1 5, 3.203, 17



Record 5
Simulated powder diffractogram
Compound: SmScSe
Radiation: CuKα
Structure: a DFT-relaxed cell (PBE, Alexandria)
Peak positions follow from Bragg's law for the DFT cell and can differ from measured ones.

Cell and atoms:
abc: 3.8013 3.8013 12.7861
angles: 90.00 90.00 120.00
Space group P-3m1 (No. 164)
Unique sites:
Sm (0.0000, 0.0000, 0.1352) [2 per cell]
Sc (0.3333, 0.6667, 0.4010) [2 per cell]
Se (0.3333, 0.6667, 0.7191) [2 per cell]

Most intense lines, 10 to 80 degrees two-theta, in order of falling intensity:
(hkl), d (Å), Rel. int.
1 0 1, 3.189, 100
1 0 3, 2.605, 92
0 1 4, 2.293, 59
1 1 0, 1.901, 42
0 0 2, 6.393, 27
0 2 1, 1.633, 23
1 0 0, 3.292, 20
1 1 7, 1.317, 18
0 2 3, 1.535, 18
2 0 4, 1.463, 14